1.
# CsYSe2
Theoretical X-ray diffraction stick pattern, Cu Kα. Input: a cell relaxed with GGA-PBE.
Lines closer than 0.1° are merged.

```
data_CsYSe2
_cell_length_a 8.172
_cell_length_b 5.038
_cell_length_c 14.031
_cell_angle_alpha 90.00
_cell_angle_beta 90.00
_cell_angle_gamma 90.00
_space_group_name_H-M_alt 'P n m a'
_space_group_IT_number 62
_space_group_name_Hall '-P 2ac 2n'
loop_
_atom_site_label
_atom_site_fract_x
_atom_site_fract_y
_atom_site_fract_z
Cs1 0.094 0.250 0.128
Y1 0.066 0.750 0.383
Se1 0.161 0.250 0.458
Se2 0.163 0.250 0.757
```

Largest 6 diffraction maxima, in order of rising 2θ, 2θ = 10–90°:
(hkl)  d_spacing  2theta  I (rel.)
1 1 2  3.659  24.3  100
2 1 0  3.174  28.1  48
1 1 3  3.161  28.2  44
2 0 3  3.077  29.0  76
0 2 0  2.519  35.6  48
1 1 6  2.053  44.1  42

=====

2.
# Er2GaSe4
Theoretical X-ray diffraction stick pattern, Cu Kα. Input: a cell relaxed with GGA-PBE.
Lines closer than 0.1° are merged.

```
data_Er2GaSe4
_cell_length_a 6.238
_cell_length_b 6.238
_cell_length_c 12.092
_cell_angle_alpha 90.00
_cell_angle_beta 90.00
_cell_angle_gamma 90.00
_space_group_name_H-M_alt 'I -4 2 m'
_space_group_IT_number 121
_space_group_name_Hall 'I -4 2'
loop_
_atom_site_label
_atom_site_fract_x
_atom_site_fract_y
_atom_site_fract_z
Er1 0.000 0.500 0.250
Ga1 0.000 0.000 0.000
Se1 0.248 0.248 0.118
```

Largest 6 diffraction maxima, in order of rising 2θ, 2θ = 10–90°:
(hkl)  d_spacing  2theta  I (rel.)
1 1 0  4.411  20.1  21
1 1 2  3.563  25.0  100
2 2 0  2.205  40.9  27
2 0 4  2.171  41.6  50
3 1 2  1.875  48.5  33
4 2 4  1.267  75.0  17